The following is a computed X-ray powder pattern of CaW2O4. It was derived from a crystal structure in Alexandria, relaxed with GGA+U, using Cu Kα.
Peak positions follow from Bragg's law for the DFT cell and can differ from measured ones.

Principal peaks in the range 2θ = 10–90°, low angle first:
2θ = 16.08°, d 5.512, I 100.0; 2θ = 31.19°, d 2.867, I 37.5; 2θ = 31.57°, d 2.834, I 95.5; 2θ = 32.97°, d 2.717, I 58.0; 2θ = 38.11°, d 2.361, I 47.7; 2θ = 55.32°, d 1.661, I 35.4

Crystal structure
```
CaW2O4
1.0
3.321 1.918 5.512
-3.321 1.918 5.512
0.000 -3.835 5.512
Ca W O
2 4 8
direct
0.000 0.000 0.000 Ca
0.368 0.368 0.368 Ca
0.493 0.995 0.995 W
0.574 0.574 0.574 W
0.995 0.493 0.995 W
0.995 0.995 0.493 W
0.221 0.747 0.747 O
0.229 0.229 0.229 O
0.246 0.246 0.785 O
0.246 0.785 0.246 O
0.747 0.221 0.747 O
0.747 0.747 0.221 O
0.769 0.769 0.769 O
0.785 0.246 0.246 O
```